For CuAg, a crystal structure in OQMD, relaxed with PBE gives the calculated X-ray diffraction stick pattern in this record (Cu Kα).
Kinematic intensities with the Lorentz-polarization factor, no thermal factor.

Cell and atoms:
abc: 2.784 3.796 13.981
angles: 90.00 90.00 90.00
Space group Pmmm (No. 47)
Symmetry-distinct sites (fractional):
Cu (0.000, 0.000, 0.000) x1
Cu (0.000, 0.000, 0.401) x2
Cu (0.500, 0.500, 0.312) x2
Ag (0.000, 0.000, 0.213) x2
Ag (0.500, 0.500, 0.100) x2
Ag (0.500, 0.500, 0.500) x1

Peak list (12 most intense, 2θ = 10–80°, by angle)
2θ = 19.0°, rel. 3, hkl 0 0 3
2θ = 26.7°, rel. 11, hkl 0 1 2
2θ = 34.7°, rel. 5, hkl 1 0 2
2θ = 34.9°, rel. 5, hkl 0 1 4
2θ = 40.0°, rel. 94, hkl 0 1 5
2θ = 40.2°, rel. 100, hkl 1 1 0
2θ = 46.0°, rel. 62, hkl 1 0 5
2θ = 47.9°, rel. 29, hkl 0 2 0
2θ = 62.2°, rel. 3, hkl 1 1 7
2θ = 66.9°, rel. 8, hkl 0 0 10
2θ = 67.3°, rel. 10, hkl 2 0 0
2θ = 68.6°, rel. 35, hkl 1 2 5

For CsCoH24C14N8, a crystal structure in OQMD, relaxed with PBE gives the calculated X-ray diffraction stick pattern in this record (Cu Kα).
Kinematic intensities with the Lorentz-polarization factor, no thermal factor.

Cell and atoms:
abc: 15.341 8.877 8.838
angles: 90.00 124.97 90.00
Space group C2/m (No. 12)
Symmetry-distinct sites (fractional):
Cs (0.000, 0.000, 0.000) x2
Co (0.000, 0.500, 0.500) x2
H (0.120, 0.101, 0.511) x8
H (0.122, 0.362, 0.044) x8
H (0.143, 0.363, 0.266) x8
H (0.147, 0.101, 0.810) x8
H (0.210, 0.000, 0.481) x4
H (0.233, 0.263, 0.234) x8
H (0.243, 0.500, 0.000) x4
C (0.005, 0.351, 0.654) x8
C (0.148, 0.500, 0.636) x4
C (0.169, 0.000, 0.550) x4
C (0.182, 0.362, 0.194) x8
C (0.197, 0.000, 0.851) x4
N (0.007, 0.256, 0.750) x8
N (0.242, 0.500, 0.723) x4
N (0.249, 0.500, 0.246) x4

Peak list (12 most intense, 2θ = 10–80°, by angle)
2θ = 14.1°, rel. 48, hkl 1 1 -1
2θ = 20.0°, rel. 100, hkl 1 1 1
2θ = 20.1°, rel. 20, hkl 2 0 -2
2θ = 28.4°, rel. 13, hkl 4 0 0
2θ = 28.5°, rel. 25, hkl 2 2 -2
2θ = 31.0°, rel. 18, hkl 4 2 -1
2θ = 31.9°, rel. 36, hkl 0 2 2
2θ = 32.0°, rel. 16, hkl 3 1 -3
2θ = 35.0°, rel. 13, hkl 4 2 0
2θ = 40.6°, rel. 11, hkl 0 4 0
2θ = 43.2°, rel. 11, hkl 6 0 0
2θ = 43.4°, rel. 11, hkl 3 3 -3

For Cu7Ag3, a crystal structure in OQMD, relaxed with PBE gives the calculated X-ray diffraction stick pattern in this record (Cu Kα).
Kinematic intensities with the Lorentz-polarization factor, no thermal factor.

Cell and atoms:
abc: 4.595 2.736 10.956
angles: 90.00 95.66 90.00
Space group P2/m (No. 10)
Symmetry-distinct sites (fractional):
Cu (0.000, 0.000, 0.000) x1
Cu (0.202, 0.000, 0.588) x2
Cu (0.311, 0.500, 0.405) x2
Cu (0.409, 0.000, 0.214) x2
Ag (0.090, 0.500, 0.791) x2
Ag (0.500, 0.500, 0.000) x1

Peak list (12 most intense, 2θ = 10–80°, by angle)
2θ = 24.1°, rel. 4, hkl 1 0 -2
2θ = 32.9°, rel. 4, hkl 0 0 4
2θ = 33.0°, rel. 2, hkl 1 0 3
2θ = 41.1°, rel. 100, hkl 1 1 -2
2θ = 41.4°, rel. 30, hkl 0 0 5
2θ = 42.7°, rel. 2, hkl 1 1 2
2θ = 47.1°, rel. 43, hkl 1 1 3
2θ = 49.4°, rel. 19, hkl 2 0 -4
2θ = 68.6°, rel. 7, hkl 0 2 0
2θ = 69.1°, rel. 6, hkl 2 0 6
2θ = 70.5°, rel. 12, hkl 3 1 -1
2θ = 70.9°, rel. 11, hkl 1 1 -7